# 1
NaAu2I4: simulated powder XRD pattern (CuKα), based on a GGA-PBE-relaxed structure.

Structural model:
Unit cell a=8.444 b=8.451 c=9.800 alpha=110.11 beta=99.93 gamma=113.62
Space group P1 (No. 1)
Symmetry-distinct sites (fractional):
Na1 0.000 0.000 0.000 (multiplicity 1)
Na2 0.025 0.524 0.502 (multiplicity 1)
Au1 0.013 0.762 0.251 (multiplicity 1)
Au2 0.513 0.262 0.751 (multiplicity 1)
Au3 0.513 0.762 0.251 (multiplicity 1)
Au4 0.513 0.762 0.751 (multiplicity 1)
I1 0.205 0.961 0.755 (multiplicity 1)
I2 0.208 0.450 0.247 (multiplicity 1)
I3 0.315 0.453 0.775 (multiplicity 1)
I4 0.346 0.983 0.275 (multiplicity 1)
I5 0.680 0.540 0.227 (multiplicity 1)
I6 0.711 0.071 0.727 (multiplicity 1)
I7 0.818 0.074 0.255 (multiplicity 1)
I8 0.821 0.563 0.748 (multiplicity 1)

Largest 8 diffraction maxima, low angle first, 5° ≤ 2θ ≤ 70°:
Position (°2θ), d_spacing, I_rel, h k l
12.26, 7.218, 29, 0 1 -1
12.86, 6.882, 21, 0 1 0
20.70, 4.291, 100, 0 0 2
25.37, 3.511, 36, 2 -2 0
30.00, 2.978, 26, 2 1 -1
30.99, 2.886, 20, 2 -2 2
34.85, 2.574, 27, -2 2 2
39.30, 2.292, 22, 2 1 1

# 2
Na2Au2I7: simulated powder XRD pattern (CuKα), based on a GGA-PBE-relaxed structure.

Structural model:
Unit cell a=6.142 b=17.181 c=8.808 alpha=90.00 beta=104.88 gamma=90.00
Space group P2_1/c (No. 14)
Symmetry-distinct sites (fractional):
Na1 0.241 0.113 0.032 (multiplicity 4)
Au1 0.233 0.611 0.864 (multiplicity 4)
I1 0.000 0.000 0.500 (multiplicity 2)
I2 0.141 0.219 0.722 (multiplicity 4)
I3 0.284 0.571 0.579 (multiplicity 4)
I4 0.433 0.680 0.137 (multiplicity 4)

Largest 8 diffraction maxima, low angle first, 5° ≤ 2θ ≤ 70°:
Position (°2θ), d_spacing, I_rel, h k l
14.65, 6.047, 53, 0 2 1
18.94, 4.685, 41, 1 2 -1
20.97, 4.236, 37, 1 1 1
21.56, 4.122, 100, 1 3 0
22.96, 3.874, 41, 1 1 -2
23.32, 3.814, 37, 0 2 2
30.55, 2.926, 44, 1 5 -1
41.62, 2.170, 39, 1 1 -4

Number 1 is which compound? NaAu2I4